No. 1
Computed XRD peak list of Nd2CuTe2O for Cu Kα X-rays, from a GGA-PBE-relaxed structure.

Top 10 peaks for 2θ from 10° to 90°, by intensity:
24.83 deg, I 100; 35.41 deg, I 39; 34.15 deg, I 29; 43.31 deg, I 22; 23.06 deg, I 20; 57.48 deg, I 19; 42.68 deg, I 16; 50.56 deg, I 14; 50.94 deg, I 14; 69.03 deg, I 11

Structural model:
Lattice parameters (Å, degrees): 3.585 3.585 15.425 90.00 90.00 90.00
Fractional positions:
Nd: 0.000 0.000 0.136
Nd: 0.000 0.000 0.864
Cu: 0.000 0.000 0.500
Te: 0.000 0.000 0.343
Te: 0.000 0.000 0.657
O: 0.000 0.000 0.000



No. 2
Computed XRD peak list of SiP2 for Cu Kα X-rays, from a GGA-PBE-relaxed structure.

Top 10 peaks for 2θ from 10° to 90°, by intensity:
11.08 deg, I 100; 31.73 deg, I 91; 53.06 deg, I 57; 14.04 deg, I 39; 23.91 deg, I 30; 28.30 deg, I 16; 54.73 deg, I 16; 22.27 deg, I 15; 55.21 deg, I 15; 34.47 deg, I 14

Structural model:
Lattice parameters (Å, degrees): 10.291 15.965 3.449 90.00 90.00 90.00
Fractional positions:
Si: 0.089 0.167 0.000
Si: 0.195 0.768 0.500
Si: 0.305 0.268 0.500
Si: 0.411 0.667 0.000
Si: 0.589 0.333 0.000
Si: 0.695 0.732 0.500
Si: 0.805 0.232 0.500
Si: 0.911 0.833 0.000
P: 0.040 0.870 0.500
P: 0.126 0.628 0.500
P: 0.171 0.299 0.000
P: 0.242 0.574 0.000
P: 0.258 0.074 0.000
P: 0.329 0.799 0.000
P: 0.374 0.128 0.500
P: 0.460 0.370 0.500
P: 0.540 0.630 0.500
P: 0.626 0.872 0.500
P: 0.671 0.201 0.000
P: 0.742 0.926 0.000
P: 0.758 0.426 0.000
P: 0.829 0.701 0.000
P: 0.874 0.372 0.500
P: 0.960 0.130 0.500



No. 3
Computed XRD peak list of Li3FeS3 for Cu Kα X-rays, from a GGA-PBE-relaxed structure.

Top 10 peaks for 2θ from 10° to 90°, by intensity:
28.79 deg, I 100; 16.07 deg, I 92; 17.69 deg, I 84; 15.91 deg, I 83; 48.40 deg, I 66; 48.86 deg, I 66; 28.28 deg, I 55; 20.57 deg, I 43; 20.70 deg, I 40; 46.00 deg, I 38

Structural model:
Lattice parameters (Å, degrees): 6.386 11.837 8.038 90.00 128.27 90.00
Fractional positions:
Li: 0.208 0.141 0.181
Li: 0.208 0.359 0.681
Li: 0.224 0.711 0.219
Li: 0.224 0.789 0.719
Li: 0.249 0.074 0.824
Li: 0.249 0.426 0.324
Li: 0.751 0.574 0.676
Li: 0.751 0.926 0.176
Li: 0.776 0.211 0.281
Li: 0.776 0.289 0.781
Li: 0.792 0.641 0.319
Li: 0.792 0.859 0.819
Fe: 0.498 0.582 0.884
Fe: 0.498 0.918 0.384
Fe: 0.502 0.082 0.616
Fe: 0.502 0.418 0.116
S: 0.247 0.573 0.994
S: 0.247 0.927 0.494
S: 0.264 0.240 0.473
S: 0.264 0.260 0.973
S: 0.267 0.584 0.538
S: 0.267 0.916 0.038
S: 0.733 0.084 0.962
S: 0.733 0.416 0.462
S: 0.736 0.740 0.027
S: 0.736 0.760 0.527
S: 0.753 0.073 0.506
S: 0.753 0.427 0.006



No. 4
Computed XRD peak list of MnCoSi for Cu Kα X-rays, from a GGA-PBE-relaxed structure.

Top 9 peaks for 2θ from 10° to 90°, by intensity:
47.79 deg, I 100; 28.72 deg, I 62; 89.10 deg, I 30; 56.71 deg, I 25; 69.89 deg, I 15; 77.25 deg, I 9; 33.29 deg, I 3; 79.65 deg, I 1; 59.48 deg, I 1

Structural model:
Lattice parameters (Å, degrees): 5.383 5.383 5.383 90.00 90.00 90.00
Fractional positions:
Mn: 0.000 0.000 0.000
Mn: 0.000 0.500 0.500
Mn: 0.500 0.000 0.500
Mn: 0.500 0.500 0.000
Co: 0.250 0.250 0.250
Co: 0.250 0.750 0.750
Co: 0.750 0.250 0.750
Co: 0.750 0.750 0.250
Si: 0.000 0.000 0.500
Si: 0.000 0.500 0.000
Si: 0.500 0.000 0.000
Si: 0.500 0.500 0.500



No. 5
Computed XRD peak list of Sb2MoS for Cu Kα X-rays, from a GGA-PBE-relaxed structure.

Top 10 peaks for 2θ from 10° to 90°, by intensity:
28.00 deg, I 100; 33.66 deg, I 61; 19.25 deg, I 47; 39.06 deg, I 46; 47.50 deg, I 45; 34.82 deg, I 42; 36.99 deg, I 33; 33.22 deg, I 33; 42.70 deg, I 30; 38.75 deg, I 24

Structural model:
Lattice parameters (Å, degrees): 18.794 18.794 6.614 94.92 94.92 19.79
Fractional positions:
Sb: 0.010 0.010 0.295
Sb: 0.013 0.467 0.706
Sb: 0.086 0.086 0.422
Sb: 0.087 0.587 0.424
Sb: 0.413 0.913 0.576
Sb: 0.414 0.414 0.578
Sb: 0.467 0.013 0.706
Sb: 0.490 0.490 0.705
Sb: 0.510 0.510 0.295
Sb: 0.533 0.987 0.294
Sb: 0.586 0.586 0.422
Sb: 0.587 0.087 0.424
Sb: 0.913 0.413 0.576
Sb: 0.914 0.914 0.578
Sb: 0.987 0.533 0.294
Sb: 0.990 0.990 0.705
Mo: 0.122 0.122 0.829
Mo: 0.122 0.622 0.830
Mo: 0.378 0.378 0.171
Mo: 0.378 0.878 0.170
Mo: 0.622 0.122 0.830
Mo: 0.622 0.622 0.829
Mo: 0.878 0.378 0.170
Mo: 0.878 0.878 0.171
S: 0.172 0.172 0.087
S: 0.172 0.671 0.088
S: 0.328 0.328 0.913
S: 0.329 0.828 0.912
S: 0.671 0.172 0.088
S: 0.672 0.672 0.087
S: 0.828 0.329 0.912
S: 0.828 0.828 0.913



No. 6
Computed XRD peak list of Ce4Ge3 for Cu Kα X-rays, from a GGA-PBE-relaxed structure.

Top 10 peaks for 2θ from 10° to 90°, by intensity:
31.48 deg, I 100; 37.44 deg, I 70; 51.87 deg, I 29; 63.84 deg, I 23; 49.70 deg, I 22; 67.54 deg, I 15; 24.26 deg, I 14; 78.15 deg, I 13; 65.71 deg, I 13; 28.08 deg, I 9

Structural model:
Lattice parameters (Å, degrees): 7.784 7.784 7.784 109.47 109.47 109.47
Fractional positions:
Ce: 0.000 0.144 0.500
Ce: 0.000 0.644 0.500
Ce: 0.144 0.500 0.000
Ce: 0.356 0.356 0.356
Ce: 0.500 0.000 0.144
Ce: 0.500 0.000 0.644
Ce: 0.644 0.500 0.000
Ce: 0.856 0.856 0.856
Ge: 0.125 0.875 0.250
Ge: 0.250 0.125 0.875
Ge: 0.375 0.625 0.750
Ge: 0.625 0.750 0.375
Ge: 0.750 0.375 0.625
Ge: 0.875 0.250 0.125



No. 7
Computed XRD peak list of GaSiC4N for Cu Kα X-rays, from a GGA-PBE-relaxed structure.

Top 10 peaks for 2θ from 10° to 90°, by intensity:
10.86 deg, I 100; 10.56 deg, I 92; 14.01 deg, I 91; 11.37 deg, I 52; 12.90 deg, I 33; 11.02 deg, I 18; 21.81 deg, I 18; 37.25 deg, I 13; 29.27 deg, I 11; 38.31 deg, I 11

Structural model:
Lattice parameters (Å, degrees): 10.011 10.011 16.698 108.43 108.43 58.42
Fractional positions:
Ga: 0.025 0.966 0.832
Ga: 0.034 0.975 0.668
Ga: 0.090 0.730 0.216
Ga: 0.270 0.910 0.284
Ga: 0.730 0.090 0.716
Ga: 0.910 0.270 0.784
Ga: 0.966 0.025 0.332
Ga: 0.975 0.034 0.168
Si: 0.045 0.293 0.365
Si: 0.280 0.713 0.415
Si: 0.287 0.720 0.085
Si: 0.293 0.045 0.865
Si: 0.707 0.955 0.135
Si: 0.713 0.280 0.915
Si: 0.720 0.287 0.585
Si: 0.955 0.707 0.635
C: 0.010 0.437 0.300
C: 0.120 0.462 0.274
C: 0.138 0.524 0.223
C: 0.160 0.837 0.914
C: 0.163 0.840 0.586
C: 0.172 0.369 0.339
C: 0.259 0.740 0.531
C: 0.260 0.741 0.969
C: 0.369 0.172 0.839
C: 0.406 0.593 0.527
C: 0.407 0.594 0.973
C: 0.437 0.010 0.800
C: 0.456 0.541 0.442
C: 0.459 0.544 0.058
C: 0.462 0.120 0.774
C: 0.476 0.862 0.277
C: 0.524 0.138 0.723
C: 0.538 0.880 0.226
C: 0.541 0.456 0.942
C: 0.544 0.459 0.558
C: 0.563 0.990 0.200
C: 0.593 0.406 0.027
C: 0.594 0.407 0.473
C: 0.631 0.828 0.161
C: 0.740 0.259 0.031
C: 0.741 0.260 0.469
C: 0.828 0.631 0.661
C: 0.837 0.160 0.414
C: 0.840 0.163 0.086
C: 0.862 0.476 0.777
C: 0.880 0.538 0.726
C: 0.990 0.563 0.700
N: 0.068 0.110 0.287
N: 0.110 0.068 0.787
N: 0.175 0.816 0.162
N: 0.184 0.825 0.338
N: 0.816 0.175 0.662
N: 0.825 0.184 0.838
N: 0.890 0.932 0.213
N: 0.932 0.890 0.713